NaAg10Pt2: simulated powder X-ray diffraction pattern (Cu Ka), based on a structure optimized by DFT (GGA-PBE).
Peak positions follow from Bragg's law for the DFT cell and can differ from measured ones.

Most intense lines, 2θ from 10° to 80°, sorted by position:
hkl 0 0 2, 2θ = 13.15°, d = 6.733 Å, I = 33
hkl 0 2 2, 2θ = 18.70°, d = 4.745 Å, I = 54
hkl 1 3 3, 2θ = 32.61°, d = 2.746 Å, I = 21
hkl 2 2 2, 2θ = 37.69°, d = 2.387 Å, I = 96
hkl 0 4 4, 2θ = 37.93°, d = 2.372 Å, I = 84
hkl 2 0 4, 2θ = 42.31°, d = 2.136 Å, I = 49
hkl 2 4 0, 2θ = 42.46°, d = 2.129 Å, I = 100
hkl 1 5 3, 2θ = 42.61°, d = 2.122 Å, I = 16
hkl 0 6 2, 2θ = 42.72°, d = 2.116 Å, I = 30
hkl 2 6 6, 2θ = 68.31°, d = 1.373 Å, I = 32

Crystal structure
```
data_NaAg10Pt2
_cell_length_a 5.527
_cell_length_b 13.377
_cell_length_c 13.467
_cell_angle_alpha 90.00
_cell_angle_beta 90.00
_cell_angle_gamma 90.00
_space_group_name_H-M_alt 'F m m m'
_space_group_IT_number 69
_space_group_name_Hall '-F 2 2'
loop_
_atom_site_label
_atom_site_type_symbol
_atom_site_fract_x
_atom_site_fract_y
_atom_site_fract_z
_atom_site_occupancy
Na1 Na 0.000 0.000 0.000 1
Ag1 Ag 0.000 0.109 0.390 1
Ag2 Ag 0.000 0.172 0.176 1
Ag3 Ag 0.250 0.250 0.000 1
Pt1 Pt 0.250 0.000 0.250 1
```